No. 1
Simulated powder X-ray diffraction pattern of Y6Tm8Mg for Cu Kα, from a DFT-relaxed cell (PBE, Alexandria).
Neutral-atom scattering factors, no anomalous dispersion.

Top 10 peaks for 2θ from 15° to 90°, in order of rising 2θ:
3.780 Å, I 18; 3.418 Å, I 30; 3.038 Å, I 14; 2.748 Å, I 49; 2.677 Å, I 100; 2.668 Å, I 75; 2.472 Å, I 37; 1.890 Å, I 17; 1.768 Å, I 15; 1.542 Å, I 23

Atomic structure:
abc: 9.2426 9.2426 6.5683
angles: 90.00 90.00 120.00
Element x y z (fractional)
Y1 0.0954 0.6826 0.4021
Y2 0.3174 0.4128 0.4021
Y3 0.4128 0.0954 0.5979
Y4 0.5872 0.9046 0.4021
Y5 0.6826 0.5872 0.5979
Y6 0.9046 0.3174 0.5979
Tm1 0.0168 0.3318 0.1022
Tm2 0.3149 0.9832 0.1022
Tm3 0.3318 0.3149 0.8978
Tm4 0.3333 0.6667 0.8381
Tm5 0.6667 0.3333 0.1619
Tm6 0.6682 0.6851 0.1022
Tm7 0.6851 0.0168 0.8978
Tm8 0.9832 0.6682 0.8978
Mg1 0.0000 0.0000 0.5000

***

No. 2
Simulated powder X-ray diffraction pattern of Sr3Li2Sm2Tl4 for Cu Kα, from a DFT-relaxed cell (PBE, Alexandria).
Neutral-atom scattering factors, no anomalous dispersion.

Top 10 peaks for 2θ from 15° to 90°, in order of rising 2θ:
4.394 Å, I 20; 3.914 Å, I 66; 3.376 Å, I 20; 2.896 Å, I 92; 2.654 Å, I 100; 2.187 Å, I 32; 2.163 Å, I 19; 1.957 Å, I 30; 1.575 Å, I 30; 1.532 Å, I 19

Atomic structure:
abc: 5.3087 5.3087 14.9176
angles: 90.00 90.00 120.00
Element x y z (fractional)
Sr1 0.0000 0.0000 0.0000
Sr2 0.0000 0.0000 0.2601
Sr3 0.0000 0.0000 0.7399
Li1 0.3333 0.6667 0.1479
Li2 0.6667 0.3333 0.8521
Sm1 0.3333 0.6667 0.5712
Sm2 0.6667 0.3333 0.4288
Tl1 0.3333 0.6667 0.3588
Tl2 0.3333 0.6667 0.8639
Tl3 0.6667 0.3333 0.1361
Tl4 0.6667 0.3333 0.6412

***

No. 3
Simulated powder X-ray diffraction pattern of ErGa4Pd4 for Cu Kα, from a DFT-relaxed cell (PBE, Alexandria).
Neutral-atom scattering factors, no anomalous dispersion.

Top 10 peaks for 2θ from 15° to 90°, in order of rising 2θ:
3.046 Å, I 18; 2.609 Å, I 34; 2.583 Å, I 100; 2.139 Å, I 22; 2.090 Å, I 42; 2.041 Å, I 14; 1.654 Å, I 18; 1.523 Å, I 14; 1.513 Å, I 17; 1.114 Å, I 12

Atomic structure:
abc: 6.0508 6.0508 8.6731
angles: 90.00 90.00 90.00
Element x y z (fractional)
Er1 0.2500 0.7500 0.2500
Er2 0.7500 0.2500 0.7500
Ga1 0.0379 0.2500 0.0592
Ga2 0.2500 0.0379 0.5592
Ga3 0.2500 0.4621 0.5592
Ga4 0.4621 0.2500 0.0592
Ga5 0.5379 0.7500 0.9408
Ga6 0.7500 0.5379 0.4408
Ga7 0.7500 0.9621 0.4408
Ga8 0.9621 0.7500 0.9408
Pd1 0.0220 0.2500 0.3539
Pd2 0.2500 0.0220 0.8539
Pd3 0.2500 0.4780 0.8539
Pd4 0.4780 0.2500 0.3539
Pd5 0.5220 0.7500 0.6461
Pd6 0.7500 0.5220 0.1461
Pd7 0.7500 0.9780 0.1461
Pd8 0.9780 0.7500 0.6461

***

No. 4
Simulated powder X-ray diffraction pattern of NdNb6Sn6 for Cu Kα, from a DFT-relaxed cell (PBE, Alexandria).
Neutral-atom scattering factors, no anomalous dispersion.

Top 10 peaks for 2θ from 15° to 90°, in order of rising 2θ:
2.909 Å, I 73; 2.519 Å, I 55; 2.492 Å, I 100; 2.415 Å, I 38; 2.233 Å, I 96; 1.586 Å, I 25; 1.454 Å, I 41; 1.409 Å, I 41; 1.246 Å, I 28; 1.162 Å, I 23

Atomic structure:
abc: 7.5598 7.5598 7.5598
angles: 134.71 100.58 96.48
Element x y z (fractional)
Nd1 0.0000 0.0000 0.0000
Nb1 0.0000 0.0000 0.5000
Nb2 0.0000 0.5000 0.0000
Nb3 0.2525 0.5000 0.7525
Nb4 0.5000 0.0000 0.0000
Nb5 0.5000 0.5000 0.5000
Nb6 0.7475 0.5000 0.2475
Sn1 0.1657 0.6657 0.5000
Sn2 0.3314 0.0000 0.3314
Sn3 0.3341 0.3341 0.0000
Sn4 0.6659 0.6659 0.0000
Sn5 0.6686 0.0000 0.6686
Sn6 0.8343 0.3343 0.5000

***

No. 5
Simulated powder X-ray diffraction pattern of Tm12Tl3Pb for Cu Kα, from a DFT-relaxed cell (PBE, Alexandria).
Neutral-atom scattering factors, no anomalous dispersion.

Top 10 peaks for 2θ from 15° to 90°, in order of rising 2θ:
4.792 Å, I 1; 3.388 Å, I 1; 2.766 Å, I 100; 2.396 Å, I 50; 1.694 Å, I 36; 1.445 Å, I 42; 1.383 Å, I 12; 1.199 Å, I 2; 1.197 Å, I 4; 1.099 Å, I 18

Atomic structure:
abc: 4.7892 4.7892 19.1857
angles: 90.00 90.00 90.00
Element x y z (fractional)
Tm1 0.0000 0.0000 0.0000
Tm2 0.0000 0.0000 0.2502
Tm3 0.0000 0.0000 0.5000
Tm4 0.0000 0.0000 0.7498
Tm5 0.0000 0.5000 0.1252
Tm6 0.0000 0.5000 0.3747
Tm7 0.0000 0.5000 0.6253
Tm8 0.0000 0.5000 0.8748
Tm9 0.5000 0.0000 0.1252
Tm10 0.5000 0.0000 0.3747
Tm11 0.5000 0.0000 0.6253
Tm12 0.5000 0.0000 0.8748
Tl1 0.5000 0.5000 0.0000
Tl2 0.5000 0.5000 0.2489
Tl3 0.5000 0.5000 0.7511
Pb1 0.5000 0.5000 0.5000

***

No. 6
Simulated powder X-ray diffraction pattern of RbVW3 for Cu Kα, from a DFT-relaxed cell (PBE, Alexandria).
Neutral-atom scattering factors, no anomalous dispersion.

Top 10 peaks for 2θ from 15° to 90°, in order of rising 2θ:
4.763 Å, I 19; 2.750 Å, I 100; 2.382 Å, I 69; 2.130 Å, I 9; 1.684 Å, I 48; 1.588 Å, I 4; 1.436 Å, I 42; 1.375 Å, I 16; 1.191 Å, I 8; 1.093 Å, I 19

Atomic structure:
abc: 4.7633 4.7633 4.7633
angles: 90.00 90.00 90.00
Element x y z (fractional)
Rb1 0.0000 0.0000 0.0000
V1 0.5000 0.5000 0.5000
W1 0.0000 0.5000 0.5000
W2 0.5000 0.0000 0.5000
W3 0.5000 0.5000 0.0000

***

No. 7
Simulated powder X-ray diffraction pattern of PrNd2Se3 for Cu Kα, from a DFT-relaxed cell (PBE, Alexandria).
Neutral-atom scattering factors, no anomalous dispersion.

Top 10 peaks for 2θ from 15° to 90°, in order of rising 2θ:
3.464 Å, I 15; 3.000 Å, I 100; 2.128 Å, I 13; 2.120 Å, I 62; 1.735 Å, I 13; 1.729 Å, I 13; 1.342 Å, I 11; 1.340 Å, I 17; 1.227 Å, I 8; 1.223 Å, I 12

Atomic structure:
abc: 4.2565 5.9902 12.7051
angles: 90.00 90.00 90.00
Element x y z (fractional)
Pr1 0.0000 0.0000 0.0000
Pr2 0.5000 0.5000 0.5000
Nd1 0.0000 0.0000 0.3346
Nd2 0.0000 0.0000 0.6654
Nd3 0.5000 0.5000 0.1654
Nd4 0.5000 0.5000 0.8346
Se1 0.0000 0.5000 0.0000
Se2 0.0000 0.5000 0.3315
Se3 0.0000 0.5000 0.6685
Se4 0.5000 0.0000 0.1685
Se5 0.5000 0.0000 0.5000
Se6 0.5000 0.0000 0.8315

***

No. 8
Simulated powder X-ray diffraction pattern of K4Tl5Te6 for Cu Kα, from a DFT-relaxed cell (PBE, Alexandria).
Neutral-atom scattering factors, no anomalous dispersion.

Top 10 peaks for 2θ from 15° to 90°, in order of rising 2θ:
5.362 Å, I 41; 3.970 Å, I 26; 3.175 Å, I 25; 3.102 Å, I 89; 2.955 Å, I 34; 2.899 Å, I 21; 2.748 Å, I 63; 2.631 Å, I 100; 2.012 Å, I 23; 1.636 Å, I 23

Atomic structure:
abc: 12.4790 12.4790 17.7288
angles: 90.00 90.00 154.55
Element x y z (fractional)
K1 0.0208 0.9792 0.5000
K2 0.0396 0.9604 0.7613
K3 0.1510 0.8490 0.3069
K4 0.1616 0.8384 0.9495
K5 0.8384 0.1616 0.4495
K6 0.8490 0.1510 0.8069
K7 0.9604 0.0396 0.2613
K8 0.9792 0.0208 0.0000
Tl1 0.1732 0.8268 0.6289
Tl2 0.3182 0.6818 0.2892
Tl3 0.3275 0.6725 0.6212
Tl4 0.3300 0.6700 0.9587
Tl5 0.4654 0.5346 0.6602
Tl6 0.5346 0.4654 0.1602
Tl7 0.6700 0.3300 0.4587
Tl8 0.6725 0.3275 0.1212
Tl9 0.6818 0.3182 0.7892
Tl10 0.8268 0.1732 0.1289
Te1 0.0936 0.9064 0.1274
Te2 0.2466 0.7534 0.4754
Te3 0.2591 0.7409 0.7763
Te4 0.4085 0.5915 0.1273
Te5 0.4372 0.5628 0.4007
Te6 0.4533 0.5467 0.8485
Te7 0.5467 0.4533 0.3485
Te8 0.5628 0.4372 0.9007
Te9 0.5915 0.4085 0.6273
Te10 0.7409 0.2591 0.2763
Te11 0.7534 0.2466 0.9754
Te12 0.9064 0.0936 0.6274

***

No. 9
Simulated powder X-ray diffraction pattern of Ac2NiGeH for Cu Kα, from a DFT-relaxed cell (PBE, Alexandria).
Neutral-atom scattering factors, no anomalous dispersion.

Top 10 peaks for 2θ from 15° to 90°, in order of rising 2θ:
3.529 Å, I 87; 3.100 Å, I 44; 3.046 Å, I 33; 2.980 Å, I 54; 2.945 Å, I 100; 2.484 Å, I 37; 2.427 Å, I 32; 2.170 Å, I 23; 2.146 Å, I 32; 1.863 Å, I 35

Atomic structure:
abc: 6.5021 4.2912 8.6832
angles: 90.00 107.51 90.00
Element x y z (fractional)
Ac1 0.2257 0.2500 0.4088
Ac2 0.2453 0.2500 0.9657
Ac3 0.7547 0.7500 0.0343
Ac4 0.7743 0.7500 0.5912
Ni1 0.4524 0.7500 0.2404
Ni2 0.5476 0.2500 0.7596
Ge1 0.3336 0.7500 0.7073
Ge2 0.6664 0.2500 0.2927
H1 0.1895 0.7500 0.1765
H2 0.8105 0.2500 0.8235

***

No. 10
Simulated powder X-ray diffraction pattern of RbPb2IO2 for Cu Kα, from a DFT-relaxed cell (PBE, Alexandria).
Neutral-atom scattering factors, no anomalous dispersion.

Top 10 peaks for 2θ from 15° to 90°, in order of rising 2θ:
5.610 Å, I 20; 3.376 Å, I 70; 3.296 Å, I 100; 3.190 Å, I 47; 3.067 Å, I 28; 2.805 Å, I 26; 2.106 Å, I 25; 1.876 Å, I 13; 1.862 Å, I 21; 1.689 Å, I 15

Atomic structure:
abc: 7.7031 6.3800 7.9610
angles: 90.00 91.54 90.00
Element x y z (fractional)
Rb1 0.1384 0.2500 0.1060
Rb2 0.8616 0.7500 0.8940
Pb1 0.1277 0.2500 0.6215
Pb2 0.3446 0.7500 0.7734
Pb3 0.6554 0.2500 0.2266
Pb4 0.8723 0.7500 0.3785
I1 0.3223 0.7500 0.3554
I2 0.6777 0.2500 0.6446
O1 0.1569 0.9997 0.8040
O2 0.1569 0.5003 0.8040
O3 0.8431 0.0003 0.1960
O4 0.8431 0.4997 0.1960

***

No. 11
Simulated powder X-ray diffraction pattern of Tm3Ag4Au2 for Cu Kα, from a DFT-relaxed cell (PBE, Alexandria).
Neutral-atom scattering factors, no anomalous dispersion.

Top 10 peaks for 2θ from 15° to 90°, in order of rising 2θ:
2.679 Å, I 58; 2.547 Å, I 100; 2.355 Å, I 81; 2.115 Å, I 30; 2.112 Å, I 28; 1.660 Å, I 13; 1.659 Å, I 14; 1.476 Å, I 18; 1.457 Å, I 17; 1.178 Å, I 17

Atomic structure:
abc: 8.7581 8.7581 5.2507
angles: 98.55 98.55 75.43
Element x y z (fractional)
Tm1 0.1186 0.8814 0.7500
Tm2 0.2030 0.4591 0.9252
Tm3 0.4591 0.2030 0.4252
Tm4 0.5409 0.7970 0.5748
Tm5 0.7970 0.5409 0.0748
Tm6 0.8814 0.1186 0.2500
Ag1 0.0982 0.3473 0.3719
Ag2 0.3214 0.5649 0.4823
Ag3 0.3473 0.0982 0.8719
Ag4 0.4351 0.6786 0.0177
Ag5 0.5649 0.3214 0.9823
Ag6 0.6527 0.9018 0.1281
Ag7 0.6786 0.4351 0.5177
Ag8 0.9018 0.6527 0.6281
Au1 0.0181 0.7583 0.1845
Au2 0.2417 0.9819 0.3155
Au3 0.7583 0.0181 0.6845
Au4 0.9819 0.2417 0.8155

***

No. 12
Simulated powder X-ray diffraction pattern of Rb2PaGeSe5 for Cu Kα, from a DFT-relaxed cell (PBE, Alexandria).
Neutral-atom scattering factors, no anomalous dispersion.

Top 10 peaks for 2θ from 15° to 90°, in order of rising 2θ:
5.861 Å, I 28; 4.350 Å, I 10; 3.224 Å, I 100; 2.739 Å, I 18; 2.409 Å, I 14; 2.351 Å, I 17; 2.212 Å, I 18; 1.996 Å, I 16; 1.825 Å, I 12; 1.611 Å, I 11

Atomic structure:
abc: 10.1833 10.1833 14.5117
angles: 90.00 90.00 154.90
Element x y z (fractional)
Rb1 0.1206 0.8794 0.5000
Rb2 0.1217 0.8783 0.1468
Rb3 0.8783 0.1217 0.6468
Rb4 0.8794 0.1206 0.0000
Pa1 0.2007 0.7993 0.8442
Pa2 0.7993 0.2007 0.3442
Ge1 0.4388 0.5612 0.2442
Ge2 0.5612 0.4388 0.7442
Se1 0.0547 0.9453 0.8324
Se2 0.3044 0.6956 0.4647
Se3 0.3121 0.6879 0.2126
Se4 0.3313 0.6687 0.8238
Se5 0.4918 0.5082 0.1014
Se6 0.5082 0.4918 0.6014
Se7 0.6687 0.3313 0.3238
Se8 0.6879 0.3121 0.7126
Se9 0.6956 0.3044 0.9647
Se10 0.9453 0.0547 0.3324